The following is a simulated powder XRD pattern of Li2NiP5O15. It was derived from a crystal structure in the Materials Project, relaxed with GGA+U, using CuKα.
Intensities are scaled so that the largest is 100.

Peak list (10 most intense, 2θ = 10–90°, by angle)
two_theta, I_rel, h k l
10.3, 92.1, 0 0 1
12.2, 46.1, 0 1 1
13.2, 48.3, 0 2 0
16.8, 78.3, 0 2 1
18.5, 100.0, 1 0 -1
20.6, 94.7, 0 0 2
22.5, 50.6, 0 3 1
22.8, 52.1, 1 2 -1
25.8, 94.9, 1 2 1
32.1, 45.5, 1 4 0

Cell: 5.1585 13.3711 8.8046 Å, 90.00 101.48 90.00°
Space group P2_1/m (No. 11)
Unique sites:
Li1 0.0643 0.1161 0.1019 (multiplicity 4)
Ni1 0.5000 0.0000 0.5000 (multiplicity 2)
P1 0.0061 0.6392 0.4847 (multiplicity 4)
P2 0.3409 0.0762 0.8129 (multiplicity 4)
P3 0.4556 0.7500 0.9890 (multiplicity 2)
O1 0.0358 0.2500 0.4589 (multiplicity 2)
O2 0.1374 0.1445 0.6928 (multiplicity 4)
O3 0.1401 0.0724 0.4231 (multiplicity 4)
O4 0.1944 0.7500 0.8800 (multiplicity 2)
O5 0.1960 0.0306 0.9261 (multiplicity 4)
O6 0.2872 0.2500 0.0654 (multiplicity 2)
O7 0.3003 0.6252 0.4937 (multiplicity 4)
O8 0.4462 0.6570 0.1084 (multiplicity 4)
O9 0.4864 0.0072 0.7209 (multiplicity 4)


The following is a simulated powder XRD pattern of LiCoO2. It was derived from a crystal structure in the Materials Project, relaxed with GGA+U, using CuKα.
Intensities are scaled so that the largest is 100.

Peak list (10 most intense, 2θ = 10–90°, by angle)
two_theta, I_rel, h k l
18.7, 100.0, 1 1 0
36.1, 22.7, 0 2 1
36.4, 9.8, 3 1 0
37.9, 15.6, 0 0 2
43.9, 51.8, 2 2 -2
44.4, 24.7, 4 0 0
58.1, 7.6, 2 2 -3
64.1, 13.7, 2 2 2
64.3, 13.7, 6 2 -2
80.9, 9.4, 4 4 0

Cell: 10.0058 5.8475 5.8292 Å, 90.00 125.41 90.00°
Space group C2/m (No. 12)
Unique sites:
Li1 0.0000 0.0000 0.0000 (multiplicity 2)
Li2 0.0000 0.0000 0.5000 (multiplicity 2)
Li3 0.2500 0.2500 0.0000 (multiplicity 4)
Co1 0.0000 0.5000 0.0000 (multiplicity 2)
Co2 0.0000 0.5000 0.5000 (multiplicity 2)
Co3 0.2500 0.2500 0.5000 (multiplicity 4)
O1 0.0055 0.2671 0.2681 (multiplicity 8)
O2 0.2366 0.5000 0.2463 (multiplicity 4)
O3 0.2402 0.5000 0.7297 (multiplicity 4)


The following is a simulated powder XRD pattern of VFeMoO7. It was derived from a crystal structure in the Materials Project, relaxed with GGA+U, using CuKα.
Intensities are scaled so that the largest is 100.

Peak list (10 most intense, 2θ = 10–90°, by angle)
two_theta, I_rel, h k l
16.4, 57.2, 0 1 -1
18.7, 31.2, 1 -1 0
21.3, 32.6, 1 -1 1
22.3, 34.5, -1 1 1
22.9, 33.9, 1 1 0
26.2, 33.8, 1 1 1
26.8, 76.9, 0 2 0
27.2, 100.0, 1 0 -2
27.8, 60.1, 1 0 2
28.4, 43.0, 1 -1 2

Cell: 5.6536 6.8123 8.0501 Å, 95.74 90.18 101.41°
Space group P-1 (No. 2)
Unique sites:
V1 0.1920 0.2610 0.3358 (multiplicity 2)
Fe1 0.3281 0.8084 0.4045 (multiplicity 2)
Mo1 0.2033 0.2862 0.8906 (multiplicity 2)
O1 0.0720 0.7963 0.2308 (multiplicity 2)
O2 0.0847 0.8055 0.5824 (multiplicity 2)
O3 0.1652 0.2076 0.1089 (multiplicity 2)
O4 0.2785 0.5453 0.8962 (multiplicity 2)
O5 0.2957 0.5100 0.3872 (multiplicity 2)
O6 0.3924 0.1242 0.4235 (multiplicity 2)
O7 0.4326 0.1832 0.7815 (multiplicity 2)